# 1
The following is a calculated X-ray powder pattern of VCo3Ir. It was derived from a PBE-relaxed structure, using Cu Kα (λ = 1.5418 Å).

Most intense lines, 2θ from 10° to 80°, most intense first:
(hkl), Position (°2θ), intensity
2 1 2, 45.35, 100
1 1 -4, 45.91, 94
3 0 -2, 43.37, 89
1 2 -1, 44.28, 47
1 1 0, 24.92, 46
1 0 -2, 21.88, 31
2 1 -2, 37.21, 30
2 2 -1, 50.60, 28
0 1 2, 29.15, 27
0 2 0, 41.30, 27

Structural model:
a = 6.419 Å, b = 4.372 Å, c = 8.898 Å
α = 90.00°, β = 105.16°, γ = 90.00°
Space group P2_1/c (No. 14)
Inequivalent atoms, fractional coordinates:
V (0.165, 0.188, 0.218)
Co (0.039, 0.720, 0.082)
Co (0.359, 0.157, 0.534)
Co (0.446, 0.666, 0.676)
Ir (0.245, 0.665, 0.381)


# 2
The following is a calculated X-ray powder pattern of TaPO5. It was derived from a PBE-relaxed structure, using Cu Kα (λ = 1.5418 Å).

Most intense lines, 2θ from 10° to 80°, most intense first:
(hkl), Position (°2θ), intensity
1 1 1, 15.26, 100
2 2 2, 30.80, 63
1 3 3, 29.75, 34
0 0 4, 21.22, 33
1 3 1, 25.56, 31
1 1 5, 30.34, 30
2 2 6, 43.67, 28
1 1 3, 21.43, 27
2 6 2, 52.52, 18
0 4 4, 36.20, 16

Structural model:
a = 7.160 Å, b = 12.321 Å, c = 16.748 Å
α = 90.00°, β = 90.00°, γ = 90.00°
Space group Fddd (No. 70, origin choice 2)
Inequivalent atoms, fractional coordinates:
Ta (0.000, 0.000, 0.000)
P (0.125, 0.125, 0.410)
O (0.047, 0.355, 0.036)
O (0.110, 0.024, 0.355)
O (0.125, 0.125, 0.044)


# 3
The following is a calculated X-ray powder pattern of CuAs3O9. It was derived from a PBE-relaxed structure, using Cu Kα (λ = 1.5418 Å).

Most intense lines, 2θ from 10° to 80°, most intense first:
(hkl), Position (°2θ), intensity
0 0 2, 23.93, 100
2 2 0, 26.97, 98
2 2 2, 36.37, 64
1 3 0, 28.51, 48
1 3 2, 37.56, 22
3 5 2, 61.24, 22
0 0 4, 49.01, 22
3 1 0, 31.87, 17
2 2 4, 56.82, 15
3 5 0, 55.45, 15

Structural model:
a = 8.774 Å, b = 10.055 Å, c = 7.436 Å
α = 90.00°, β = 90.00°, γ = 90.00°
Space group C222_1 (No. 20)
Inequivalent atoms, fractional coordinates:
Cu (0.185, 0.000, 0.000)
As (0.009, 0.302, 0.465)
As (0.221, 0.000, 0.500)
O (0.000, 0.376, 0.250)
O (0.005, 0.133, 0.045)
O (0.146, 0.371, 0.922)
O (0.172, 0.054, 0.712)
O (0.175, 0.355, 0.557)


# 4
The following is a calculated X-ray powder pattern of Al6Ga12Sn. It was derived from a PBE-relaxed structure, using Cu Kα (λ = 1.5418 Å).

Most intense lines, 2θ from 10° to 80°, most intense first:
(hkl), Position (°2θ), intensity
1 3 1, 31.85, 100
0 3 3, 41.39, 38
5 0 2, 47.62, 29
3 3 0, 43.65, 28
1 1 3, 35.74, 27
2 3 2, 42.65, 25
3 2 1, 38.00, 23
1 2 2, 30.87, 21
3 5 4, 77.39, 18
4 1 3, 51.14, 15

Structural model:
a = 12.4430 Å, b = 12.4430 Å, c = 8.2388 Å
α = 90.00°, β = 90.00°, γ = 120.00°
Space group R-3m (No. 166, hexagonal axes)
Inequivalent atoms, fractional coordinates:
Al (0.0825, 0.5412, 0.2368)
Ga (0.0000, 0.3842, 0.5000)
Ga (0.0911, 0.1822, 0.2538)
Sn (0.0000, 0.0000, 0.0000)


# 5
The following is a calculated X-ray powder pattern of Tb2ThSi2. It was derived from a PBE-relaxed structure, using Cu Kα (λ = 1.5418 Å).

Most intense lines, 2θ from 10° to 80°, most intense first:
(hkl), Position (°2θ), intensity
2 1 -2, 32.83, 100
1 1 2, 30.25, 96
3 0 0, 27.37, 93
0 2 0, 23.91, 73
2 2 1, 33.34, 69
3 2 0, 36.66, 69
3 0 2, 39.06, 47
1 2 -1, 28.40, 47
0 0 2, 25.54, 46
0 2 2, 35.26, 45

Structural model:
a = 9.796 Å, b = 7.444 Å, c = 6.992 Å
α = 90.00°, β = 93.77°, γ = 90.00°
Space group P2_1/c (No. 14)
Inequivalent atoms, fractional coordinates:
Tb (0.013, 0.242, 0.033)
Tb (0.294, 0.663, 0.162)
Th (0.362, 0.177, 0.989)
Si (0.168, 0.002, 0.295)
Si (0.457, 0.544, 0.831)


# 6
The following is a calculated X-ray powder pattern of Sc2Te3. It was derived from a PBE-relaxed structure, using Cu Kα (λ = 1.5418 Å).

Most intense lines, 2θ from 10° to 80°, most intense first:
(hkl), Position (°2θ), intensity
1 0 3, 30.29, 100
1 2 3, 43.53, 72
0 1 3, 25.89, 55
1 1 0, 26.54, 52
0 2 0, 30.51, 50
1 3 0, 51.91, 25
0 2 6, 53.24, 19
0 0 6, 42.53, 19
2 2 0, 54.66, 18
2 0 0, 44.20, 17

Structural model:
a = 4.098 Å, b = 5.860 Å, c = 12.754 Å
α = 90.00°, β = 90.00°, γ = 90.00°
Space group Immm (No. 71)
Inequivalent atoms, fractional coordinates:
Sc (0.000, 0.000, 0.163)
Te (0.000, 0.500, 0.174)
Te (0.000, 0.500, 0.500)


# 7
The following is a calculated X-ray powder pattern of Dy3AsSeS. It was derived from a PBE-relaxed structure, using Cu Kα (λ = 1.5418 Å).

Most intense lines, 2θ from 10° to 80°, most intense first:
(hkl), Position (°2θ), intensity
2 0 -2, 32.50, 100
0 6 0, 37.96, 93
1 3 -1, 24.78, 76
1 1 1, 23.74, 73
1 3 1, 29.73, 65
2 2 0, 30.75, 60
0 2 2, 30.93, 59
2 6 -2, 50.83, 49
1 5 1, 39.26, 41
2 0 2, 46.75, 36

Structural model:
a = 6.766 Å, b = 14.216 Å, c = 6.720 Å
α = 90.00°, β = 109.61°, γ = 90.00°
Space group C2/c (No. 15)
Inequivalent atoms, fractional coordinates:
Dy (0.000, 0.245, 0.250)
Dy (0.248, 0.077, 0.001)
As (0.000, 0.435, 0.250)
Se (0.000, 0.250, 0.750)
S (0.000, 0.057, 0.250)


Question: Which formula does entry 7 have?
Answer: Dy3AsSeS


Question: What is the formula in the first record?
Answer: VCo3Ir